No. 1
Computed X-ray diffraction stick pattern
Compound: Li7Mn5O12
Radiation: Cu Ka
Structure: a DFT-relaxed cell (GGA+U, Alexandria)
Neutral-atom scattering factors, no anomalous dispersion.

Cell and atoms:
Lattice parameters (Å, degrees): 2.9620 6.4755 12.0669 102.61 94.08 102.48
Space group P-1 (No. 2)
Unique sites:
Li (0.0000, 0.0000, 0.0000) (multiplicity 1)
Li (0.0736, 0.0026, 0.2345) (multiplicity 2)
Li (0.3614, 0.6666, 0.5752) (multiplicity 2)
Li (0.3633, 0.6860, 0.0849) (multiplicity 2)
Mn (0.0000, 0.0000, 0.5000) (multiplicity 1)
Mn (0.2981, 0.6744, 0.8411) (multiplicity 2)
Mn (0.3615, 0.6723, 0.3311) (multiplicity 2)
O (0.1115, 0.3420, 0.7907) (multiplicity 2)
O (0.1755, 0.3255, 0.5453) (multiplicity 2)
O (0.1808, 0.3382, 0.0559) (multiplicity 2)
O (0.2408, 0.3472, 0.2742) (multiplicity 2)
O (0.4486, 0.9724, 0.8709) (multiplicity 2)
O (0.4769, 0.9935, 0.3878) (multiplicity 2)

Principal peaks in the range 10 to 80 degrees two-theta, sorted by position:
index	2θ/deg	d [Å]	intensity
0 1 -2	18.28	4.853	100.0
-1 1 2	34.60	2.592	12.1
0 2 2	36.18	2.483	12.5
1 0 2	36.55	2.458	16.3
1 0 -4	41.27	2.187	31.5
0 3 0	44.27	2.046	27.4
1 -1 4	44.48	2.037	27.0
0 4 -2	58.44	1.579	8.6
0 1 -8	61.65	1.505	7.9
1 -4 4	64.41	1.447	7.8

***

No. 2
Computed X-ray diffraction stick pattern
Compound: Li2Ti3FeO8
Radiation: Cu Ka
Structure: a DFT-relaxed cell (GGA+U, Alexandria)
Neutral-atom scattering factors, no anomalous dispersion.

Cell and atoms:
Lattice parameters (Å, degrees): 12.0249 12.0249 14.7137 90.00 90.00 120.00
Space group R32 (No. 155, hexagonal axes)
Unique sites:
Li (0.0000, 0.0000, 0.1265) (multiplicity 6)
Li (0.9999, 0.5004, 0.1251) (multiplicity 18)
Ti (0.0000, 0.5035, 0.5000) (multiplicity 9)
Ti (0.0000, 0.7506, 0.0000) (multiplicity 9)
Ti (0.0808, 0.1675, 0.6659) (multiplicity 18)
Fe (0.0000, 0.0000, 0.5000) (multiplicity 3)
Fe (0.0000, 0.2499, 0.0000) (multiplicity 9)
O (0.0000, 0.0000, 0.2630) (multiplicity 6)
O (0.0105, 0.5165, 0.2621) (multiplicity 18)
O (0.0155, 0.7579, 0.7463) (multiplicity 18)
O (0.0208, 0.2522, 0.7521) (multiplicity 18)
O (0.0734, 0.1528, 0.4062) (multiplicity 18)
O (0.0807, 0.8956, 0.9178) (multiplicity 18)

Principal peaks in the range 10 to 80 degrees two-theta, sorted by position:
index	2θ/deg	d [Å]	intensity
0 2 1	18.08	4.908	100.0
4 0 1	35.01	2.563	46.4
0 4 2	36.62	2.454	7.4
4 0 4	42.54	2.125	58.6
0 4 5	46.57	1.950	9.0
4 2 5	56.23	1.636	20.5
0 4 8	61.73	1.503	34.7
2 2 9	64.90	1.437	13.5
8 0 2	73.97	1.281	5.4
0 0 12	77.86	1.227	8.5

***

Repeat the second record exactly.
Computed X-ray diffraction stick pattern
Compound: Li2Ti3FeO8
Radiation: Cu Ka
Structure: a DFT-relaxed cell (GGA+U, Alexandria)
Neutral-atom scattering factors, no anomalous dispersion.

Cell and atoms:
Lattice parameters (Å, degrees): 12.0249 12.0249 14.7137 90.00 90.00 120.00
Space group R32 (No. 155, hexagonal axes)
Unique sites:
Li (0.0000, 0.0000, 0.1265) (multiplicity 6)
Li (0.9999, 0.5004, 0.1251) (multiplicity 18)
Ti (0.0000, 0.5035, 0.5000) (multiplicity 9)
Ti (0.0000, 0.7506, 0.0000) (multiplicity 9)
Ti (0.0808, 0.1675, 0.6659) (multiplicity 18)
Fe (0.0000, 0.0000, 0.5000) (multiplicity 3)
Fe (0.0000, 0.2499, 0.0000) (multiplicity 9)
O (0.0000, 0.0000, 0.2630) (multiplicity 6)
O (0.0105, 0.5165, 0.2621) (multiplicity 18)
O (0.0155, 0.7579, 0.7463) (multiplicity 18)
O (0.0208, 0.2522, 0.7521) (multiplicity 18)
O (0.0734, 0.1528, 0.4062) (multiplicity 18)
O (0.0807, 0.8956, 0.9178) (multiplicity 18)

Principal peaks in the range 10 to 80 degrees two-theta, sorted by position:
index	2θ/deg	d [Å]	intensity
0 2 1	18.08	4.908	100.0
4 0 1	35.01	2.563	46.4
0 4 2	36.62	2.454	7.4
4 0 4	42.54	2.125	58.6
0 4 5	46.57	1.950	9.0
4 2 5	56.23	1.636	20.5
0 4 8	61.73	1.503	34.7
2 2 9	64.90	1.437	13.5
8 0 2	73.97	1.281	5.4
0 0 12	77.86	1.227	8.5